Entry 1:
Na2Hg2Sb2Pb: calculated X-ray powder pattern (Cu Kα (λ = 1.5418 Å)), based on a crystal structure in Alexandria, relaxed with PBE.
Kinematic intensities with the Lorentz-polarization factor, no thermal factor.

Main lines, in order of falling intensity (5° ≤ 2θ ≤ 70°):
35.5 deg, intensity 100; 31.7 deg, intensity 99; 24.6 deg, intensity 50; 48.4 deg, intensity 31; 61.4 deg, intensity 30; 21.4 deg, intensity 26; 43.8 deg, intensity 23; 20.6 deg, intensity 21; 63.8 deg, intensity 18; 48.0 deg, intensity 18; 69.5 deg, intensity 12; 43.7 deg, intensity 11

Cell and atoms:
Cell lengths 9.080, 9.080, 9.080 Å; angles 32.33, 32.33, 32.33 degrees
Sites, in units of the cell vectors:
Na (0.138, 0.138, 0.138)
Na (0.862, 0.862, 0.862)
Hg (0.439, 0.439, 0.439)
Hg (0.561, 0.561, 0.561)
Sb (0.266, 0.266, 0.266)
Sb (0.734, 0.734, 0.734)
Pb (0.000, 0.000, 0.000)

***

Entry 2:
Na2SnHg5Pb: calculated X-ray powder pattern (Cu Kα (λ = 1.5418 Å)), based on a crystal structure in Alexandria, relaxed with PBE.
Kinematic intensities with the Lorentz-polarization factor, no thermal factor.

Main lines, in order of falling intensity (5° ≤ 2θ ≤ 70°):
35.2 deg, intensity 100; 28.1 deg, intensity 70; 31.0 deg, intensity 36; 23.3 deg, intensity 34; 31.5 deg, intensity 28; 42.1 deg, intensity 24; 47.1 deg, intensity 23; 54.4 deg, intensity 19; 67.2 deg, intensity 18; 52.3 deg, intensity 17; 60.0 deg, intensity 15; 40.1 deg, intensity 11

Cell and atoms:
Cell lengths 8.879, 8.879, 8.879 Å; angles 119.17, 119.17, 91.44 degrees
Sites, in units of the cell vectors:
Na (0.115, 0.615, 0.730)
Na (0.385, 0.115, 0.500)
Na (0.615, 0.885, 0.500)
Na (0.885, 0.385, 0.270)
Sn (0.250, 0.750, 0.500)
Sn (0.750, 0.250, 0.500)
Hg (0.000, 0.000, 0.000)
Hg (0.063, 0.171, 0.500)
Hg (0.171, 0.671, 0.107)
Hg (0.329, 0.437, 0.500)
Hg (0.437, 0.937, 0.107)
Hg (0.500, 0.500, 0.000)
Hg (0.563, 0.063, 0.893)
Hg (0.671, 0.563, 0.500)
Hg (0.829, 0.329, 0.893)
Hg (0.937, 0.829, 0.500)
Pb (0.250, 0.250, 0.000)
Pb (0.750, 0.750, 0.000)

***

Entry 3:
Na2Tl4HgPb2: calculated X-ray powder pattern (Cu Kα (λ = 1.5418 Å)), based on a crystal structure in Alexandria, relaxed with PBE.
Kinematic intensities with the Lorentz-polarization factor, no thermal factor.

Main lines, in order of falling intensity (5° ≤ 2θ ≤ 70°):
34.5 deg, intensity 100; 32.8 deg, intensity 59; 29.5 deg, intensity 48; 31.8 deg, intensity 45; 62.5 deg, intensity 40; 52.3 deg, intensity 38; 29.7 deg, intensity 32; 59.5 deg, intensity 32; 43.9 deg, intensity 30; 10.5 deg, intensity 26; 7.0 deg, intensity 25; 31.4 deg, intensity 19

Cell and atoms:
Cell lengths 3.496, 3.496, 25.360 Å; angles 90.00, 90.00, 120.00 degrees
Sites, in units of the cell vectors:
Na (0.000, 0.000, 0.000)
Na (0.333, 0.667, 0.322)
Tl (0.000, 0.000, 0.215)
Tl (0.000, 0.000, 0.432)
Tl (0.333, 0.667, 0.107)
Tl (0.333, 0.667, 0.891)
Hg (0.333, 0.667, 0.668)
Pb (0.000, 0.000, 0.561)
Pb (0.000, 0.000, 0.777)

***

Entry 4:
Na2Tl2Hg4Pb: calculated X-ray powder pattern (Cu Kα (λ = 1.5418 Å)), based on a crystal structure in Alexandria, relaxed with PBE.
Kinematic intensities with the Lorentz-polarization factor, no thermal factor.

Main lines, in order of falling intensity (5° ≤ 2θ ≤ 70°):
30.0 deg, intensity 100; 24.2 deg, intensity 68; 35.2 deg, intensity 60; 49.6 deg, intensity 45; 33.8 deg, intensity 42; 16.7 deg, intensity 34; 28.9 deg, intensity 32; 38.4 deg, intensity 30; 45.6 deg, intensity 21; 37.7 deg, intensity 20; 62.3 deg, intensity 17; 50.7 deg, intensity 16

Cell and atoms:
Cell lengths 7.360, 7.360, 7.360 Å; angles 121.37, 121.37, 87.65 degrees
Sites, in units of the cell vectors:
Na (0.214, 0.214, 0.000)
Na (0.786, 0.786, 0.000)
Tl (0.250, 0.750, 0.500)
Tl (0.750, 0.250, 0.500)
Hg (0.212, 0.212, 0.424)
Hg (0.212, 0.788, 0.000)
Hg (0.788, 0.212, 0.000)
Hg (0.788, 0.788, 0.576)
Pb (0.500, 0.500, 0.000)

***

Entry 5:
NaHg2Pd4: calculated X-ray powder pattern (Cu Kα (λ = 1.5418 Å)), based on a crystal structure in Alexandria, relaxed with PBE.
Kinematic intensities with the Lorentz-polarization factor, no thermal factor.

Main lines, in order of falling intensity (5° ≤ 2θ ≤ 70°):
39.5 deg, intensity 100; 36.5 deg, intensity 74; 39.7 deg, intensity 55; 34.1 deg, intensity 43; 31.2 deg, intensity 39; 19.9 deg, intensity 36; 35.9 deg, intensity 33; 46.0 deg, intensity 31; 50.9 deg, intensity 28; 65.1 deg, intensity 24; 32.7 deg, intensity 24; 52.2 deg, intensity 22

Cell and atoms:
Cell lengths 5.997, 5.997, 5.117 Å; angles 103.44, 103.44, 48.43 degrees
Sites, in units of the cell vectors:
Na (0.000, 0.000, 0.000)
Hg (0.353, 0.353, 0.415)
Hg (0.647, 0.647, 0.585)
Pd (0.000, 0.000, 0.500)
Pd (0.239, 0.239, 0.853)
Pd (0.500, 0.500, 0.000)
Pd (0.761, 0.761, 0.147)

***

Entry 6:
NaHg3Pd: calculated X-ray powder pattern (Cu Kα (λ = 1.5418 Å)), based on a crystal structure in Alexandria, relaxed with PBE.
Kinematic intensities with the Lorentz-polarization factor, no thermal factor.

Main lines, in order of falling intensity (5° ≤ 2θ ≤ 70°):
37.3 deg, intensity 100; 16.3 deg, intensity 94; 13.8 deg, intensity 64; 36.9 deg, intensity 44; 29.1 deg, intensity 44; 29.0 deg, intensity 43; 34.0 deg, intensity 42; 37.5 deg, intensity 37; 41.6 deg, intensity 35; 31.3 deg, intensity 34; 24.2 deg, intensity 25; 40.9 deg, intensity 22

Cell and atoms:
Cell lengths 5.476, 7.373, 7.375 Å; angles 60.68, 85.18, 85.50 degrees
Sites, in units of the cell vectors:
Na (0.003, 0.164, 0.160)
Na (0.997, 0.836, 0.840)
Hg (0.152, 0.394, 0.397)
Hg (0.500, 0.000, 0.500)
Hg (0.500, 0.188, 0.812)
Hg (0.500, 0.500, 0.000)
Hg (0.500, 0.812, 0.188)
Hg (0.848, 0.606, 0.603)
Pd (0.339, 0.610, 0.612)
Pd (0.661, 0.390, 0.388)